Theoretical XRD peak list
Compound: SiH3NO
Radiation: Cu Ka
Structure: a PBE-relaxed structure
No peak broadening, texture or thermal motion is included.

Principal peaks in the range 2θ = 10–90°, in order of rising 2θ:
20.3 deg, I = 17, (0 0 1); 22.3 deg, I = 100, (1 0 0); 39.6 deg, I = 11, (0 1 1); 40.4 deg, I = 10, (2 0 -1); 50.6 deg, I = 8, (1 1 1); 50.7 deg, I = 11, (1 1 -2); 54.2 deg, I = 10, (0 1 2); 75.1 deg, I = 5, (1 2 0)

Structure:
```
6
Lattice="4.4647 0.0000 0.0000 0.0000 2.6669 0.0000 -2.2155 0.0000 4.3792" Properties=species:S:1:pos:R:3 pbc="T T T"
Si 0.0000 0.0000 0.0000
H -0.3714 1.3335 2.0760
H 1.2488 1.3335 1.7214
H 2.9682 0.0000 0.0365
N 0.3105 1.3335 1.2906
O 2.6557 1.3335 3.3227
```